The following is a calculated powder XRD pattern of LiMn3Al2H6O12. It was derived from a DFT-relaxed cell (GGA+U, Alexandria), using Cu Kα, 1.54184 Å.
Intensities are scaled so that the largest is 100.

Most intense lines, 2θ from 5° to 70°, by angle:
d = 9.525 Å, I 65
d = 4.762 Å, I 100
d = 2.543 Å, I 9
d = 2.405 Å, I 56
d = 2.331 Å, I 7
d = 1.904 Å, I 49
d = 1.594 Å, I 14
d = 1.474 Å, I 18
d = 1.464 Å, I 8
d = 1.408 Å, I 14

Structural model:
Cell lengths 5.1066, 5.1066, 9.6769 Å; angles 95.07, 95.07, 119.98 degrees
Sites, in units of the cell vectors:
1 Li 0.0000 0.0000 0.0000
2 Mn 0.1664 0.8336 0.5000
3 Mn 0.5000 0.5000 0.5000
4 Mn 0.8336 0.1664 0.5000
5 Al 0.3333 0.6667 0.0000
6 Al 0.6667 0.3333 0.0000
7 H 0.0672 0.4215 0.2072
8 H 0.2791 0.2791 0.7933
9 H 0.4215 0.0672 0.2072
10 H 0.5785 0.9328 0.7928
11 H 0.7209 0.7209 0.2067
12 H 0.9328 0.5785 0.7928
13 O 0.0345 0.3977 0.1039
14 O 0.1260 0.4652 0.3970
15 O 0.1931 0.1931 0.6029
16 O 0.3282 0.3282 0.8963
17 O 0.3977 0.0345 0.1039
18 O 0.4652 0.1260 0.3970
19 O 0.5348 0.8740 0.6030
20 O 0.6023 0.9655 0.8961
21 O 0.6718 0.6718 0.1037
22 O 0.8069 0.8069 0.3971
23 O 0.8740 0.5348 0.6030
24 O 0.9655 0.6023 0.8961